# 1
This entry pairs a crystal structure of VBiPbO5 with its computed powder diffraction line list. Radiation: CuKα. Structure: a structure optimized by DFT (GGA+U).
Peak positions follow from Bragg's law for the DFT cell and can differ from measured ones.

The 8 most intense peaks (2θ from 15° to 90°), most intense first:
(hkl), d (Å), 2θ/deg, I_rel
1 -1 2, 2.886, 30.99, 100.0
1 -2 0, 3.455, 25.78, 75.0
1 0 -2, 3.278, 27.21, 57.4
1 1 0, 3.346, 26.65, 54.2
1 -1 1, 4.228, 21.01, 29.2
1 1 -1, 3.570, 24.94, 27.5
0 1 2, 2.614, 34.31, 24.5
2 0 1, 2.224, 40.56, 21.0

Cell and atoms:
Lattice parameters (Å, degrees): 5.8313 7.3207 7.3334 106.20 97.96 112.39
Space group P-1 (No. 2)
Unique sites:
1 V 0.1570 0.3517 0.1518 x2
2 Bi 0.4094 0.9679 0.2465 x2
3 Pb 0.1829 0.3130 0.6114 x2
4 O 0.0450 0.2036 0.8949 x2
5 O 0.1058 0.6785 0.7603 x2
6 O 0.2583 0.9770 0.5026 x2
7 O 0.3434 0.6216 0.1984 x2
8 O 0.3659 0.2833 0.2860 x2



# 2
This entry pairs a crystal structure of BiSbWO6 with its computed powder diffraction line list. Radiation: CuKα. Structure: a structure optimized by DFT (GGA+U).
Peak positions follow from Bragg's law for the DFT cell and can differ from measured ones.

The 8 most intense peaks (2θ from 15° to 90°), most intense first:
(hkl), d (Å), 2θ/deg, I_rel
3 1 1, 3.188, 27.99, 100.0
3 1 -1, 3.217, 27.73, 99.3
6 2 0, 1.982, 45.78, 36.6
6 0 0, 2.856, 31.32, 35.1
0 2 0, 2.750, 32.56, 26.6
0 0 2, 2.719, 32.94, 26.0
0 2 2, 1.934, 46.99, 25.6
9 1 -1, 1.715, 53.42, 18.6

Cell and atoms:
Lattice parameters (Å, degrees): 17.1385 5.5007 5.4385 90.00 90.81 90.00
Space group C2 (No. 5)
Unique sites:
1 Bi 0.1712 0.0000 0.0277 x4
2 Sb 0.1774 0.4982 0.4562 x4
3 W 0.0000 0.0697 0.5000 x2
4 W 0.0000 0.5685 0.0000 x2
5 O 0.0219 0.3422 0.7535 x4
6 O 0.0230 0.8454 0.7520 x4
7 O 0.1068 0.1168 0.4097 x4
8 O 0.1076 0.6100 0.0984 x4
9 O 0.2426 0.2982 0.2190 x4
10 O 0.2463 0.7883 0.2891 x4



What did the first record say?
This entry pairs a crystal structure of VBiPbO5 with its computed powder diffraction line list. Radiation: CuKα. Structure: a structure optimized by DFT (GGA+U).
Peak positions follow from Bragg's law for the DFT cell and can differ from measured ones.

The 8 most intense peaks (2θ from 15° to 90°), most intense first:
(hkl), d (Å), 2θ/deg, I_rel
1 -1 2, 2.886, 30.99, 100.0
1 -2 0, 3.455, 25.78, 75.0
1 0 -2, 3.278, 27.21, 57.4
1 1 0, 3.346, 26.65, 54.2
1 -1 1, 4.228, 21.01, 29.2
1 1 -1, 3.570, 24.94, 27.5
0 1 2, 2.614, 34.31, 24.5
2 0 1, 2.224, 40.56, 21.0

Cell and atoms:
Lattice parameters (Å, degrees): 5.8313 7.3207 7.3334 106.20 97.96 112.39
Space group P-1 (No. 2)
Unique sites:
1 V 0.1570 0.3517 0.1518 x2
2 Bi 0.4094 0.9679 0.2465 x2
3 Pb 0.1829 0.3130 0.6114 x2
4 O 0.0450 0.2036 0.8949 x2
5 O 0.1058 0.6785 0.7603 x2
6 O 0.2583 0.9770 0.5026 x2
7 O 0.3434 0.6216 0.1984 x2
8 O 0.3659 0.2833 0.2860 x2